Entry 1:
This entry pairs a crystal structure of Cs2ScTl2Cl6 with its calculated powder X-ray diffraction pattern. Radiation: copper Kα. Structure: a DFT-relaxed cell (PBE, Alexandria).
Kinematic intensities with the Lorentz-polarization factor, no thermal factor.

abc: 8.026 14.196 8.499
angles: 90.00 106.23 90.00
Space group C2/m (No. 12)
One atom of each set of equivalent atoms:
Cs (0.000, 0.163, 0.000) (multiplicity 4)
Sc (0.000, 0.500, 0.000) (multiplicity 2)
Tl (0.000, 0.256, 0.500) (multiplicity 4)
Cl (0.072, 0.374, 0.817) (multiplicity 8)
Cl (0.196, 0.000, 0.820) (multiplicity 4)

Largest 8 diffraction maxima, by intensity, 15° ≤ 2θ ≤ 90°:
2theta  I (rel.)  h k l
23.1  100  2 0 0
16.6  61  0 2 1
25.2  53  0 2 2
26.3  46  2 2 0
27.4  41  0 4 1
21.8  40  0 0 2
39.7  29  0 6 1
36.3  26  2 0 2

Entry 2:
This entry pairs a crystal structure of CsScVCl6 with its calculated powder X-ray diffraction pattern. Radiation: copper Kα. Structure: a DFT-relaxed cell (PBE, Alexandria).
Kinematic intensities with the Lorentz-polarization factor, no thermal factor.

abc: 6.4728 6.4728 7.9652
angles: 90.00 90.00 120.00
Space group P312 (No. 149)
One atom of each set of equivalent atoms:
Cs (0.0000, 0.0000, 0.0000) (multiplicity 1)
Sc (0.3333, 0.6667, 0.5000) (multiplicity 1)
V (0.6667, 0.3333, 0.5000) (multiplicity 1)
Cl (0.3702, 0.0032, 0.3205) (multiplicity 6)

Largest 8 diffraction maxima, by intensity, 15° ≤ 2θ ≤ 90°:
2theta  I (rel.)  h k l
19.4  100  1 0 1
35.7  59  1 1 2
29.8  31  2 -1 1
48.7  22  3 0 0
44.2  21  2 1 1
27.5  19  1 1 0
60.7  16  4 -1 1
33.9  15  2 0 1

Entry 3:
This entry pairs a crystal structure of CsSmSeCl2 with its calculated powder X-ray diffraction pattern. Radiation: copper Kα. Structure: a DFT-relaxed cell (PBE, Alexandria).
Kinematic intensities with the Lorentz-polarization factor, no thermal factor.

abc: 4.261 19.221 8.434
angles: 90.00 90.00 90.00
Space group Cmcm (No. 63)
One atom of each set of equivalent atoms:
Cs (0.000, 0.210, 0.250) (multiplicity 4)
Sm (0.000, 0.500, 0.000) (multiplicity 4)
Se (0.000, 0.008, 0.250) (multiplicity 4)
Cl (0.000, 0.360, 0.019) (multiplicity 8)

Largest 8 diffraction maxima, by intensity, 15° ≤ 2θ ≤ 90°:
2theta  I (rel.)  h k l
30.2  100  1 1 2
38.1  61  1 5 2
18.5  45  0 4 0
23.9  36  1 1 1
23.0  30  0 2 2
52.6  23  1 9 2
39.0  22  1 7 0
27.9  21  0 6 0

Entry 4:
This entry pairs a crystal structure of Cs2SnSeCl6 with its calculated powder X-ray diffraction pattern. Radiation: copper Kα. Structure: a DFT-relaxed cell (PBE, Alexandria).
Kinematic intensities with the Lorentz-polarization factor, no thermal factor.

abc: 7.403 7.403 12.925
angles: 90.00 90.00 90.00
Space group I4/mmm (No. 139)
One atom of each set of equivalent atoms:
Cs (0.000, 0.500, 0.250) (multiplicity 4)
Sn (0.000, 0.000, 0.000) (multiplicity 2)
Se (0.000, 0.000, 0.500) (multiplicity 2)
Cl (0.000, 0.000, 0.210) (multiplicity 4)
Cl (0.237, 0.237, 0.500) (multiplicity 8)

Largest 8 diffraction maxima, by intensity, 15° ≤ 2θ ≤ 90°:
2theta  I (rel.)  h k l
21.8  100  1 1 2
34.3  46  2 2 0
44.5  41  2 2 4
41.0  39  3 1 2
24.0  38  2 0 0
27.6  38  0 0 4
27.8  30  2 0 2
36.9  23  2 0 4

> What is the formula in the second record?

CsScVCl6